Simulated PXRD pattern
Compound: NdTl2W3O12
Radiation: a wavelength of 1.5418 Å
Structure: a cell relaxed with GGA+U

Structure:
Cell: 7.7649 7.7649 7.7649 Å, 58.04 58.04 58.04°
Fractional positions:
Nd  0.0000  0.0000  0.0000
Tl  0.3320  0.3320  0.3320
Tl  0.6680  0.6680  0.6680
W  0.0000  0.0000  0.5000
W  0.0000  0.5000  0.0000
W  0.5000  0.0000  0.0000
O  0.0672  0.7070  0.7070
O  0.0858  0.0858  0.6260
O  0.0858  0.6260  0.0858
O  0.2930  0.2930  0.9328
O  0.2930  0.9328  0.2930
O  0.3740  0.9142  0.9142
O  0.6260  0.0858  0.0858
O  0.7070  0.0672  0.7070
O  0.7070  0.7070  0.0672
O  0.9142  0.3740  0.9142
O  0.9142  0.9142  0.3740
O  0.9328  0.2930  0.2930

Main lines, in order of rising 2θ (10° ≤ 2θ ≤ 80°):
- d 5.405, I 22
- d 3.251, I 100
- d 3.216, I 75
- d 3.090, I 19
- d 2.060, I 31
- d 1.883, I 29
- d 1.863, I 23
- d 1.625, I 34
- d 1.390, I 16
- d 1.223, I 15